The following is a simulated powder X-ray diffraction pattern of Gd2Mn3Sb3O14. It was derived from a structure optimized by DFT (GGA+U), using Cu Kα X-rays.
Lines closer than 0.1° are merged.

Largest 10 diffraction maxima, in order of falling intensity, 2θ from 15° to 90°:
| hkl | two_theta | d [Å] | I_rel |
| --- | --- | --- | --- |
| 2 2 0 | 29.74 | 3.004 | 100 |
| 0 0 2 | 30.01 | 2.978 | 48 |
| 4 0 -2 | 30.65 | 2.917 | 45 |
| 2 2 -2 | 34.74 | 2.582 | 39 |
| 2 2 2 | 49.71 | 1.834 | 31 |
| 6 2 -2 | 50.54 | 1.806 | 30 |
| 2 2 -4 | 59.53 | 1.553 | 26 |
| 4 0 0 | 34.98 | 2.565 | 19 |
| 2 0 0 | 17.29 | 5.130 | 17 |
| 0 4 0 | 49.16 | 1.853 | 16 |

Crystal structure
```
data_Gd2Mn3Sb3O14
_chemical_formula_sum 'Gd4 Mn6 Sb6 O28'
_symmetry_space_group_name_H-M 'C 1 2/m 1'
_symmetry_Int_Tables_number 12
_symmetry_space_group_name_Hall '-C 2y'
_cell_length_a 12.408
_cell_length_b 7.413
_cell_length_c 7.202
_cell_angle_alpha 90.00
_cell_angle_beta 124.22
_cell_angle_gamma 90.00
loop_
_atom_site_label
_atom_site_type_symbol
_atom_site_fract_x
_atom_site_fract_y
_atom_site_fract_z
_atom_site_occupancy
Gd1 Gd 0.250 0.250 0.000 1
Mn1 Mn 0.000 0.000 0.000 1
Mn2 Mn 0.000 0.000 0.500 1
Mn3 Mn 0.000 0.500 0.500 1
Sb1 Sb 0.000 0.500 0.000 1
Sb2 Sb 0.250 0.250 0.500 1
O1 O 0.082 0.500 0.832 1
O2 O 0.117 0.000 0.870 1
O3 O 0.125 0.298 0.170 1
O4 O 0.127 0.302 0.585 1
O5 O 0.171 0.000 0.426 1
```